[1]
Diffraction record for MgCo6O7F5. The powder diffractogram is computed, not measured: it uses a cell relaxed with GGA+U and copper Kα.

Structure:
```
data_MgCo6O7F5
_space_group_name_H-M_alt 'P 1'
_space_group_IT_number 1
_cell_length_a 5.7079
_cell_length_b 5.9165
_cell_length_c 7.4640
_cell_angle_alpha 106.42
_cell_angle_beta 97.64
_cell_angle_gamma 115.07
loop_
_space_group_symop_operation_xyz
'x,y,z'
loop_
_atom_site_label
_atom_site_fract_x
_atom_site_fract_y
_atom_site_fract_z
Mg1 0.0000 0.0000 0.0000
Co1 0.3098 0.5313 0.3342
Co2 0.3408 0.8999 0.7588
Co3 0.6163 0.0370 0.1800
Co4 0.6753 0.5043 0.6385
Co5 0.9604 0.0824 0.5406
Co6 0.9739 0.4841 0.9770
O1 0.0100 0.1860 0.3022
O2 0.2561 0.8338 0.9978
O3 0.4028 0.6535 0.6040
O4 0.6030 0.8541 0.3507
O5 0.7041 0.1349 0.9639
O6 0.9151 0.3435 0.7056
O7 0.9800 0.8695 0.7002
F1 0.0453 0.6500 0.2505
F2 0.2597 0.3718 0.0519
F3 0.3564 0.1556 0.6131
F4 0.5776 0.3486 0.3457
F5 0.7097 0.6374 0.9404
```

Top 8 peaks for 10° ≤ 2θ ≤ 90°, by angle:
3.826 Å, intensity 100, hkl -1 1 1
3.117 Å, intensity 97, hkl 1 1 -1
2.540 Å, intensity 27, hkl 1 -2 2
2.512 Å, intensity 37, hkl 2 -1 1
2.481 Å, intensity 24, hkl 0 2 0
2.456 Å, intensity 30, hkl 0 1 -3
2.364 Å, intensity 23, hkl 2 -2 1
1.628 Å, intensity 25, hkl 1 2 -4

[2]
Diffraction record for MgCo6O10F2. The powder diffractogram is computed, not measured: it uses a cell relaxed with GGA+U and copper Kα.

Structure:
```
data_MgCo6O10F2
_space_group_name_H-M_alt 'P 1 m 1'
_space_group_IT_number 6
_cell_length_a 4.9091
_cell_length_b 2.8758
_cell_length_c 13.6503
_cell_angle_alpha 90.00
_cell_angle_beta 90.88
_cell_angle_gamma 90.00
loop_
_space_group_symop_operation_xyz
'x,y,z'
'x,-y,z'
loop_
_atom_site_label
_atom_site_fract_x
_atom_site_fract_y
_atom_site_fract_z
Mg1 0.0000 0.0000 0.0000
Co1 0.3751 0.5000 0.3331
Co2 0.4674 0.5000 0.6612
Co3 0.5182 0.5000 0.9575
Co4 0.8581 0.0000 0.1948
Co5 0.8796 0.0000 0.4808
Co6 0.9924 0.0000 0.8050
O1 0.0748 0.5000 0.2472
O2 0.1454 0.5000 0.8916
O3 0.2108 0.0000 0.3973
O4 0.3063 0.0000 0.7281
O5 0.5356 0.0000 0.2606
O6 0.6028 0.0000 0.5889
O7 0.6849 0.5000 0.4162
O8 0.7026 0.0000 0.8957
O9 0.8347 0.5000 0.7408
O10 0.8370 0.5000 0.0842
F1 0.0786 0.5000 0.5565
F2 0.3645 0.0000 0.0482
```

Top 8 peaks for 10° ≤ 2θ ≤ 90°, by angle:
3.363 Å, intensity 62, hkl 1 0 -3
3.312 Å, intensity 100, hkl 1 0 3
2.822 Å, intensity 32, hkl 1 0 -4
2.481 Å, intensity 47, hkl 1 1 0
2.431 Å, intensity 50, hkl 0 1 3
1.670 Å, intensity 31, hkl 1 1 6
1.646 Å, intensity 24, hkl 2 1 -4
1.539 Å, intensity 27, hkl 2 0 -7

[3]
Diffraction record for MgCo6O10F2. The powder diffractogram is computed, not measured: it uses a cell relaxed with GGA+U and copper Kα.

Structure:
```
data_MgCo6O10F2
_space_group_name_H-M_alt 'P 1 2 1'
_space_group_IT_number 3
_cell_length_a 4.8065
_cell_length_b 2.9056
_cell_length_c 13.9104
_cell_angle_alpha 90.00
_cell_angle_beta 96.51
_cell_angle_gamma 90.00
loop_
_space_group_symop_operation_xyz
'x,y,z'
'-x,y,-z'
loop_
_atom_site_label
_atom_site_fract_x
_atom_site_fract_y
_atom_site_fract_z
Mg1 0.0000 0.0000 0.0000
Co1 0.0000 0.9786 0.5000
Co2 0.0440 0.9878 0.8091
Co3 0.4510 0.4807 0.3556
Co4 0.5000 0.4980 0.0000
O1 0.1358 0.4856 0.2559
O2 0.1521 0.4963 0.9100
O3 0.1911 0.4792 0.5666
O4 0.2844 0.9798 0.4176
O5 0.3699 0.9973 0.0702
F1 0.3767 0.9831 0.7273
```

Top 8 peaks for 10° ≤ 2θ ≤ 90°, by angle:
3.521 Å, intensity 95, hkl 1 0 -3
3.142 Å, intensity 100, hkl 1 0 3
2.482 Å, intensity 59, hkl 1 1 0
2.458 Å, intensity 63, hkl 0 1 3
2.388 Å, intensity 28, hkl 2 0 0
1.740 Å, intensity 29, hkl 1 1 -6
1.641 Å, intensity 37, hkl 1 1 6
1.453 Å, intensity 27, hkl 0 2 0

[4]
Diffraction record for MgCo6O7F5. The powder diffractogram is computed, not measured: it uses a cell relaxed with GGA+U and copper Kα.

Structure:
```
data_MgCo6O7F5
_space_group_name_H-M_alt 'P 1'
_space_group_IT_number 1
_cell_length_a 5.8269
_cell_length_b 5.9047
_cell_length_c 7.6055
_cell_angle_alpha 99.54
_cell_angle_beta 105.67
_cell_angle_gamma 115.63
loop_
_space_group_symop_operation_xyz
'x,y,z'
loop_
_atom_site_label
_atom_site_fract_x
_atom_site_fract_y
_atom_site_fract_z
Mg1 0.0000 0.0000 0.0000
Co1 0.0002 0.5007 0.9994
Co2 0.0870 0.8062 0.3931
Co3 0.4571 0.8367 0.8108
Co4 0.4734 0.4709 0.5024
Co5 0.5456 0.1694 0.1898
Co6 0.9227 0.2015 0.6073
O1 0.1737 0.5374 0.8191
O2 0.1761 0.1652 0.5084
O3 0.2085 0.8672 0.1739
O4 0.3047 0.7133 0.5449
O5 0.6777 0.2685 0.4554
O6 0.7938 0.1327 0.8242
O7 0.8345 0.4680 0.1840
F1 0.2741 0.3611 0.1901
F2 0.3188 0.0741 0.9102
F3 0.6839 0.9304 0.0898
F4 0.7282 0.6345 0.8124
F5 0.7784 0.7860 0.4878
```

Top 8 peaks for 10° ≤ 2θ ≤ 90°, by angle:
3.896 Å, intensity 100, hkl 1 -1 1
3.124 Å, intensity 89, hkl 1 1 -1
2.554 Å, intensity 34, hkl -1 2 1
2.529 Å, intensity 24, hkl -2 1 2
2.498 Å, intensity 21, hkl 0 1 2
2.488 Å, intensity 26, hkl 1 0 -3
1.830 Å, intensity 24, hkl 1 0 3
1.657 Å, intensity 33, hkl 3 0 -3

[5]
Diffraction record for MgCo6O7F5. The powder diffractogram is computed, not measured: it uses a cell relaxed with GGA+U and copper Kα.

Structure:
```
data_MgCo6O7F5
_space_group_name_H-M_alt 'P 1'
_space_group_IT_number 1
_cell_length_a 5.1320
_cell_length_b 5.6885
_cell_length_c 7.6635
_cell_angle_alpha 81.87
_cell_angle_beta 84.30
_cell_angle_gamma 81.24
loop_
_space_group_symop_operation_xyz
'x,y,z'
loop_
_atom_site_label
_atom_site_fract_x
_atom_site_fract_y
_atom_site_fract_z
Mg1 0.0000 0.0000 0.0000
Co1 0.4289 0.5114 0.5019
Co2 0.5355 0.8923 0.2120
Co3 0.5469 0.2175 0.8363
Co4 0.9178 0.3883 0.1911
Co5 0.9461 0.6311 0.8173
Co6 0.9524 0.0161 0.4938
O1 0.2584 0.8219 0.4199
O2 0.2622 0.4686 0.7326
O3 0.6085 0.5629 0.2848
O4 0.6546 0.2243 0.5884
O5 0.6642 0.8849 0.9436
O6 0.7963 0.3513 0.9349
O7 0.8098 0.0459 0.2536
F1 0.1054 0.9621 0.7476
F2 0.1177 0.6519 0.0552
F3 0.1386 0.3119 0.4036
F4 0.2785 0.1551 0.0727
F5 0.7689 0.7212 0.6001
```

Top 8 peaks for 10° ≤ 2θ ≤ 90°, by angle:
3.819 Å, intensity 100, hkl 1 1 1
3.214 Å, intensity 79, hkl -1 1 1
2.567 Å, intensity 26, hkl 1 1 -2
2.539 Å, intensity 25, hkl 1 -1 2
2.521 Å, intensity 21, hkl 0 0 3
2.513 Å, intensity 20, hkl 0 2 -1
1.608 Å, intensity 19, hkl -2 2 2
1.479 Å, intensity 16, hkl 0 2 -4

[6]
Diffraction record for MgCo6O7F5. The powder diffractogram is computed, not measured: it uses a cell relaxed with GGA+U and copper Kα.

Structure:
```
data_MgCo6O7F5
_space_group_name_H-M_alt 'P 1'
_space_group_IT_number 1
_cell_length_a 4.9713
_cell_length_b 5.0464
_cell_length_c 8.7649
_cell_angle_alpha 89.63
_cell_angle_beta 89.89
_cell_angle_gamma 77.80
loop_
_space_group_symop_operation_xyz
'x,y,z'
loop_
_atom_site_label
_atom_site_fract_x
_atom_site_fract_y
_atom_site_fract_z
Mg1 0.0000 0.0000 0.0000
Co1 0.4704 0.0827 0.3309
Co2 0.4786 0.0786 0.6684
Co3 0.5057 0.0456 0.9956
Co4 0.8540 0.5015 0.1872
Co5 0.8813 0.5084 0.8125
Co6 0.9863 0.5817 0.4977
O1 0.1581 0.3714 0.6679
O2 0.1712 0.3707 0.3347
O3 0.6878 0.2007 0.8445
O4 0.6888 0.1819 0.1512
O5 0.7495 0.7540 0.3511
O6 0.7635 0.7599 0.6608
O7 0.7742 0.7221 0.9912
F1 0.1663 0.3299 0.9965
F2 0.2783 0.9024 0.5064
F3 0.2950 0.8922 0.8445
F4 0.3007 0.8854 0.1495
F5 0.6502 0.2447 0.5018
```

Top 8 peaks for 10° ≤ 2θ ≤ 90°, by angle:
3.898 Å, intensity 100, hkl 1 1 0
3.145 Å, intensity 70, hkl 1 -1 0
2.521 Å, intensity 23, hkl 0 1 3
2.505 Å, intensity 55, hkl 0 1 -3
2.466 Å, intensity 15, hkl 0 2 0
2.332 Å, intensity 14, hkl 1 1 -3
1.868 Å, intensity 19, hkl 1 2 3
1.854 Å, intensity 22, hkl 2 1 3

[7]
Diffraction record for MgCo6O7F5. The powder diffractogram is computed, not measured: it uses a cell relaxed with GGA+U and copper Kα.

Structure:
```
data_MgCo6O7F5
_space_group_name_H-M_alt 'P 1'
_space_group_IT_number 1
_cell_length_a 4.9017
_cell_length_b 4.9590
_cell_length_c 8.7498
_cell_angle_alpha 90.90
_cell_angle_beta 91.12
_cell_angle_gamma 98.19
loop_
_space_group_symop_operation_xyz
'x,y,z'
loop_
_atom_site_label
_atom_site_fract_x
_atom_site_fract_y
_atom_site_fract_z
Mg1 0.0000 0.0000 0.0000
Co1 0.0344 0.5195 0.6677
Co2 0.4612 0.1179 0.8076
Co3 0.5325 0.9991 0.4985
Co4 0.5414 0.9633 0.1820
Co5 0.9507 0.4866 0.0040
Co6 0.9947 0.5177 0.3290
O1 0.1373 0.3063 0.8499
O2 0.3255 0.8235 0.6590
O3 0.3400 0.8044 0.3381
O4 0.6664 0.1832 0.0086
O5 0.7028 0.1834 0.3379
O6 0.7025 0.2450 0.6456
O7 0.8244 0.7143 0.1541
F1 0.1670 0.2702 0.1609
F2 0.1928 0.3297 0.4997
F3 0.3003 0.7803 0.0099
F4 0.8318 0.7222 0.5020
F5 0.8456 0.7310 0.8352
```

Top 8 peaks for 10° ≤ 2θ ≤ 90°, by angle:
3.726 Å, intensity 100, hkl 1 -1 0
3.227 Å, intensity 83, hkl 1 1 0
2.525 Å, intensity 47, hkl 1 0 -3
2.486 Å, intensity 23, hkl 0 1 3
2.475 Å, intensity 22, hkl 1 0 3
1.813 Å, intensity 19, hkl -1 2 3
1.670 Å, intensity 17, hkl 1 2 3
1.457 Å, intensity 17, hkl 0 0 6

[8]
Diffraction record for MgCo4O6F2. The powder diffractogram is computed, not measured: it uses a cell relaxed with GGA+U and copper Kα.

Structure:
```
data_MgCo4O6F2
_space_group_name_H-M_alt 'P 1'
_space_group_IT_number 1
_cell_length_a 5.1156
_cell_length_b 5.2792
_cell_length_c 5.6586
_cell_angle_alpha 86.34
_cell_angle_beta 87.74
_cell_angle_gamma 73.69
loop_
_space_group_symop_operation_xyz
'x,y,z'
loop_
_atom_site_label
_atom_site_fract_x
_atom_site_fract_y
_atom_site_fract_z
Mg1 0.0000 0.0000 0.0000
Co1 0.4777 0.0400 0.5064
Co2 0.4843 0.0450 0.0042
Co3 0.8708 0.4509 0.2669
Co4 0.9725 0.5329 0.7453
O1 0.1469 0.3275 0.0043
O2 0.1626 0.3427 0.5011
O3 0.3268 0.9085 0.7762
O4 0.6691 0.1974 0.2398
O5 0.7614 0.7149 0.5022
O6 0.7951 0.7310 0.0016
F1 0.2706 0.8759 0.2563
F2 0.7136 0.1896 0.7526
```

Top 8 peaks for 10° ≤ 2θ ≤ 90°, by angle:
5.059 Å, intensity 14, hkl 0 1 0
4.149 Å, intensity 100, hkl 1 1 0
3.115 Å, intensity 60, hkl 1 -1 0
2.527 Å, intensity 39, hkl 0 1 2
2.471 Å, intensity 14, hkl 1 0 2
2.424 Å, intensity 14, hkl 1 0 -2
2.409 Å, intensity 28, hkl 0 1 -2
2.074 Å, intensity 19, hkl 2 2 0

[9]
Diffraction record for MgCo4O6F2. The powder diffractogram is computed, not measured: it uses a cell relaxed with GGA+U and copper Kα.

Structure:
```
data_MgCo4O6F2
_space_group_name_H-M_alt 'P 1'
_space_group_IT_number 1
_cell_length_a 5.1369
_cell_length_b 5.1423
_cell_length_c 5.8428
_cell_angle_alpha 86.61
_cell_angle_beta 86.65
_cell_angle_gamma 72.93
loop_
_space_group_symop_operation_xyz
'x,y,z'
loop_
_atom_site_label
_atom_site_fract_x
_atom_site_fract_y
_atom_site_fract_z
Mg1 0.0000 0.0000 0.0000
Co1 0.2441 0.2389 0.2782
Co2 0.3103 0.3053 0.7564
Co3 0.6740 0.6697 0.0167
Co4 0.6988 0.6938 0.5096
O1 0.0088 0.3856 0.0170
O2 0.0288 0.4093 0.5234
O3 0.3885 0.0036 0.0167
O4 0.4143 0.0235 0.5237
O5 0.5324 0.5261 0.7692
O6 0.8257 0.8220 0.2360
F1 0.4919 0.4853 0.2689
F2 0.8768 0.8714 0.7503
```

Top 8 peaks for 10° ≤ 2θ ≤ 90°, by angle:
4.122 Å, intensity 100, hkl 1 1 0
3.055 Å, intensity 93, hkl 1 -1 0
2.555 Å, intensity 42, hkl 1 0 2
2.506 Å, intensity 21, hkl 2 1 0
2.458 Å, intensity 48, hkl 1 0 -2
1.840 Å, intensity 25, hkl 1 2 -2
1.649 Å, intensity 20, hkl 2 -1 2
1.456 Å, intensity 20, hkl 0 0 4

[10]
Diffraction record for MgCo6O10F2. The powder diffractogram is computed, not measured: it uses a cell relaxed with GGA+U and copper Kα.

Structure:
```
data_MgCo6O10F2
_space_group_name_H-M_alt 'P 1 m 1'
_space_group_IT_number 6
_cell_length_a 4.9336
_cell_length_b 2.8729
_cell_length_c 13.9707
_cell_angle_alpha 90.00
_cell_angle_beta 97.62
_cell_angle_gamma 90.00
loop_
_space_group_symop_operation_xyz
'x,y,z'
'x,-y,z'
loop_
_atom_site_label
_atom_site_fract_x
_atom_site_fract_y
_atom_site_fract_z
Mg1 0.0000 0.0000 0.0000
Co1 0.0488 0.5000 0.5322
Co2 0.0600 0.5000 0.1932
Co3 0.1611 0.5000 0.8134
Co4 0.5052 0.0000 0.0490
Co5 0.6049 0.0000 0.6733
Co6 0.6236 0.0000 0.3386
O1 0.2490 0.5000 0.0761
O2 0.2635 0.0000 0.9038
O3 0.2647 0.0000 0.5861
O4 0.2769 0.0000 0.2444
O5 0.4641 0.5000 0.7401
O6 0.7499 0.5000 0.6083
O7 0.8186 0.5000 0.2827
O8 0.8526 0.0000 0.1295
O9 0.9114 0.0000 0.4550
O10 0.9467 0.0000 0.7583
F1 0.4435 0.5000 0.4044
F2 0.7412 0.5000 0.9603
```

Top 8 peaks for 10° ≤ 2θ ≤ 90°, by angle:
3.603 Å, intensity 79, hkl 1 0 -3
3.154 Å, intensity 100, hkl 1 0 3
3.021 Å, intensity 20, hkl 1 0 -4
2.560 Å, intensity 23, hkl 1 0 -5
2.477 Å, intensity 46, hkl 1 1 0
2.440 Å, intensity 72, hkl 0 1 3
1.669 Å, intensity 34, hkl 2 1 3
1.635 Å, intensity 23, hkl 1 1 6

[11]
Diffraction record for MgCo6O6F6. The powder diffractogram is computed, not measured: it uses a cell relaxed with GGA+U and copper Kα.

Structure:
```
data_MgCo6O6F6
_space_group_name_H-M_alt 'P 1'
_space_group_IT_number 1
_cell_length_a 3.0237
_cell_length_b 5.1104
_cell_length_c 14.1065
_cell_angle_alpha 95.05
_cell_angle_beta 95.53
_cell_angle_gamma 90.37
loop_
_space_group_symop_operation_xyz
'x,y,z'
loop_
_atom_site_label
_atom_site_fract_x
_atom_site_fract_y
_atom_site_fract_z
Mg1 0.0000 0.0000 0.0000
Co1 0.1860 0.3571 0.3428
Co2 0.3216 0.4404 0.6515
Co3 0.4841 0.4998 0.9784
Co4 0.6257 0.8623 0.1990
Co5 0.7250 0.8419 0.4954
Co6 0.9017 0.0572 0.8030
O1 0.1346 0.0341 0.2461
O2 0.2294 0.6820 0.4296
O3 0.4478 0.1453 0.9004
O4 0.5288 0.8397 0.0675
O5 0.7965 0.5766 0.5892
O6 0.8553 0.3171 0.7241
F1 0.0199 0.3557 0.0598
F2 0.2557 0.0621 0.5675
F3 0.3732 0.8302 0.7466
F4 0.6518 0.5287 0.2581
F5 0.7069 0.1755 0.4104
F6 0.9529 0.6762 0.9059
```

Top 8 peaks for 10° ≤ 2θ ≤ 90°, by angle:
3.601 Å, intensity 56, hkl 0 1 -3
3.295 Å, intensity 100, hkl 0 1 3
3.010 Å, intensity 44, hkl 0 1 -4
2.608 Å, intensity 34, hkl 1 -1 0
2.591 Å, intensity 28, hkl 1 1 -1
2.423 Å, intensity 29, hkl 1 0 3
2.399 Å, intensity 29, hkl 1 0 -4
1.512 Å, intensity 23, hkl 2 0 -1